Theoretical PXRD pattern of NdHoTm2Sc2 for a wavelength of 1.5418 Å, from the PBE geometry in Alexandria.
No peak broadening, texture or thermal motion is included.

Principal peaks in the range 2θ = 10–80°, most intense first:
(hkl)	two_theta	I_rel
2 2 0	30.39	100
0 6 0	31.00	69
1 4 1	36.94	30
1 6 0	34.23	29
1 4 0	25.04	29
1 2 1	32.12	27
1 1 1	30.81	25
0 10 0	52.88	25

Crystal structure
```
data_NdHoTm2Sc2
_chemical_formula_sum 'Nd2 Ho2 Tm4 Sc4'
_space_group_name_H-M_alt 'P n n m'
_space_group_IT_number 58
_cell_length_a 6.254
_cell_length_b 17.296
_cell_length_c 3.336
_cell_angle_alpha 90.00
_cell_angle_beta 90.00
_cell_angle_gamma 90.00
loop_
_space_group_symop_operation_xyz
'x,y,z'
'-x,-y,-z'
'-x,-y,z'
'x,y,-z'
'x+1/2,-y+1/2,-z+1/2'
'-x+1/2,y+1/2,z+1/2'
'-x+1/2,y+1/2,-z+1/2'
'x+1/2,-y+1/2,z+1/2'
loop_
_atom_site_label
_atom_site_type_symbol
_atom_site_fract_x
_atom_site_fract_y
_atom_site_fract_z
_atom_site_occupancy
Nd1 Nd 0.000 0.000 0.000 1
Ho1 Ho 0.000 0.500 0.000 1
Tm1 Tm 0.219 0.192 0.000 1
Sc1 Sc 0.216 0.354 0.500 1
```